Structure and computed powder diffraction line list of Nd3ScO6 (a DFT-relaxed cell (PBE, Alexandria); λ = 1.5418 Å (Cu Kα)).

Atomic structure:
```
data_Nd3ScO6
_cell_length_a 9.3138
_cell_length_b 11.6289
_cell_length_c 5.7594
_cell_angle_alpha 90.00
_cell_angle_beta 90.00
_cell_angle_gamma 90.00
_space_group_name_H-M_alt 'C m c 21'
_space_group_IT_number 36
loop_
_space_group_symop_operation_xyz
'x,y,z'
'-x,-y,z+1/2'
'-x,y,z'
'x,-y,z+1/2'
'x+1/2,y+1/2,z'
'-x+1/2,-y+1/2,z+1/2'
'-x+1/2,y+1/2,z'
'x+1/2,-y+1/2,z+1/2'
loop_
_atom_site_label
_atom_site_type_symbol
_atom_site_fract_x
_atom_site_fract_y
_atom_site_fract_z
Nd1 Nd 0.0000 0.1031 0.0000
Nd2 Nd 0.1939 0.3929 0.0450
Sc1 Sc 0.0000 0.3137 0.5724
O1 O 0.0000 0.2822 0.2253
O2 O 0.0000 0.4646 0.7464
O3 O 0.1560 0.2389 0.7491
O4 O 0.1602 0.0138 0.2728
```

Peak list (12 most intense, 2θ = 10–90°, sorted by position)
d 4.514, rel. 22, hkl 1 1 1
d 3.074, rel. 100, hkl 2 2 1
d 3.040, rel. 37, hkl 1 3 1
d 3.000, rel. 18, hkl 3 1 0
d 2.907, rel. 13, hkl 0 4 0
d 2.880, rel. 19, hkl 0 0 2
d 2.077, rel. 26, hkl 3 1 2
d 2.046, rel. 22, hkl 0 4 2
d 1.861, rel. 19, hkl 3 5 0
d 1.698, rel. 14, hkl 2 2 3
d 1.612, rel. 16, hkl 5 3 1
d 1.563, rel. 12, hkl 3 5 2

Structure and computed powder diffraction line list of Tl5Hg2Pb5 (a DFT-relaxed cell (PBE, Alexandria); λ = 1.5418 Å (Cu Kα)).

Atomic structure:
```
data_Tl5Hg2Pb5
_cell_length_a 5.6325
_cell_length_b 8.4586
_cell_length_c 8.5447
_cell_angle_alpha 83.53
_cell_angle_beta 70.91
_cell_angle_gamma 70.62
_space_group_name_H-M_alt 'P -1'
_space_group_IT_number 2
loop_
_space_group_symop_operation_xyz
'x,y,z'
'-x,-y,-z'
loop_
_atom_site_label
_atom_site_type_symbol
_atom_site_fract_x
_atom_site_fract_y
_atom_site_fract_z
Tl1 Tl 0.0000 0.0000 0.0000
Tl2 Tl 0.2549 0.9137 0.5761
Tl3 Tl 0.2578 0.5733 0.9108
Hg1 Hg 0.4988 0.8373 0.1650
Pb1 Pb 0.0013 0.6677 0.3292
Pb2 Pb 0.2555 0.2457 0.2441
Pb3 Pb 0.5000 0.5000 0.5000
```

Peak list (12 most intense, 2θ = 10–90°, sorted by position)
d 2.845, rel. 55, hkl 0 2 2
d 2.816, rel. 54, hkl 2 1 1
d 2.761, rel. 51, hkl 1 1 -2
d 2.755, rel. 51, hkl 1 0 3
d 2.735, rel. 100, hkl 1 3 0
d 2.004, rel. 21, hkl -2 1 1
d 1.999, rel. 20, hkl 2 3 3
d 1.887, rel. 17, hkl 0 3 -3
d 1.631, rel. 11, hkl -1 1 4
d 1.616, rel. 31, hkl 3 2 -1
d 1.610, rel. 21, hkl 3 4 1
d 1.367, rel. 12, hkl 2 6 0

Structure and computed powder diffraction line list of TcHS (a DFT-relaxed cell (PBE, Alexandria); λ = 1.5418 Å (Cu Kα)).

Atomic structure:
```
data_TcHS
_cell_length_a 5.3978
_cell_length_b 15.6158
_cell_length_c 5.3905
_cell_angle_alpha 90.00
_cell_angle_beta 108.75
_cell_angle_gamma 90.00
_space_group_name_H-M_alt 'C 1 2/m 1'
_space_group_IT_number 12
loop_
_space_group_symop_operation_xyz
'x,y,z'
'-x,-y,-z'
'-x,y,-z'
'x,-y,z'
'x+1/2,y+1/2,z'
'-x+1/2,-y+1/2,-z'
'-x+1/2,y+1/2,-z'
'x+1/2,-y+1/2,z'
loop_
_atom_site_label
_atom_site_type_symbol
_atom_site_fract_x
_atom_site_fract_y
_atom_site_fract_z
Tc1 Tc 0.2498 0.2300 0.2499
H1 H 0.0019 0.0000 0.9309
H2 H 0.0168 0.5000 0.5733
S1 S 0.0000 0.1626 0.5000
S2 S 0.0000 0.3374 0.0000
```

Peak list (12 most intense, 2θ = 10–90°, sorted by position)
d 7.808, rel. 100, hkl 0 2 0
d 3.904, rel. 8, hkl 0 4 0
d 2.690, rel. 6, hkl 1 3 1
d 2.554, rel. 5, hkl 0 0 2
d 2.427, rel. 13, hkl 2 2 0
d 2.215, rel. 3, hkl 1 5 1
d 2.192, rel. 6, hkl 2 0 -2
d 2.137, rel. 14, hkl 0 4 2
d 2.111, rel. 7, hkl 2 2 -2
d 1.988, rel. 5, hkl 1 7 -1
d 1.823, rel. 8, hkl 2 6 0
d 1.613, rel. 4, hkl 1 9 -1